1.
For BNF8, the PBE geometry in Alexandria gives the theoretical X-ray diffraction stick pattern in this record (a wavelength of 1.5418 Å).

Crystal structure
Cell lengths 9.949, 9.949, 5.244 Å; angles 90.00, 90.00, 90.00 degrees
Positions (direct):
B  0.244  0.256  0.097
B  0.256  0.756  0.903
B  0.744  0.244  0.903
B  0.756  0.744  0.097
N  0.000  0.000  0.500
N  0.000  0.500  0.461
N  0.500  0.000  0.539
N  0.500  0.500  0.500
F  0.058  0.093  0.648
F  0.078  0.422  0.608
F  0.078  0.578  0.313
F  0.093  0.942  0.352
F  0.114  0.221  0.187
F  0.161  0.661  0.816
F  0.221  0.886  0.813
F  0.243  0.257  0.826
F  0.257  0.757  0.174
F  0.279  0.386  0.187
F  0.339  0.161  0.184
F  0.386  0.721  0.813
F  0.407  0.442  0.648
F  0.422  0.078  0.687
F  0.422  0.922  0.392
F  0.442  0.593  0.352
F  0.558  0.407  0.352
F  0.578  0.078  0.392
F  0.578  0.922  0.687
F  0.593  0.558  0.648
F  0.614  0.279  0.813
F  0.661  0.839  0.184
F  0.721  0.614  0.187
F  0.743  0.243  0.174
F  0.757  0.743  0.826
F  0.779  0.114  0.813
F  0.839  0.339  0.816
F  0.886  0.779  0.187
F  0.907  0.058  0.352
F  0.922  0.422  0.313
F  0.922  0.578  0.608
F  0.942  0.907  0.648

Largest 8 diffraction maxima, low angle first, 2θ from 10° to 80°:
2θ (°)  I/Imax
24.67  100
25.32  45
32.45  10
41.18  9
42.21  42
45.01  15
48.96  10
49.87  11

=====

2.
For HoSc2Pt9, the PBE geometry in Alexandria gives the theoretical X-ray diffraction stick pattern in this record (a wavelength of 1.5418 Å).

Crystal structure
Cell lengths 4.043, 4.043, 12.120 Å; angles 90.00, 90.00, 90.00 degrees
Positions (direct):
Ho  0.000  0.000  0.000
Sc  0.000  0.000  0.335
Sc  0.000  0.000  0.665
Pt  0.000  0.500  0.174
Pt  0.000  0.500  0.500
Pt  0.000  0.500  0.826
Pt  0.500  0.000  0.174
Pt  0.500  0.000  0.500
Pt  0.500  0.000  0.826
Pt  0.500  0.500  0.000
Pt  0.500  0.500  0.337
Pt  0.500  0.500  0.663

Largest 8 diffraction maxima, low angle first, 2θ from 10° to 80°:
2θ (°)  I/Imax
21.99  8
31.30  7
38.58  100
44.85  49
50.49  4
55.70  3
65.29  32
78.48  38

=====

3.
For Ce8SnTe5, the PBE geometry in Alexandria gives the theoretical X-ray diffraction stick pattern in this record (a wavelength of 1.5418 Å).

Crystal structure
Cell lengths 8.131, 8.131, 8.131 Å; angles 109.49, 109.49, 109.43 degrees
Positions (direct):
Ce  0.122  0.376  0.602
Ce  0.124  0.375  0.101
Ce  0.275  0.024  0.899
Ce  0.479  0.878  0.254
Ce  0.624  0.226  0.746
Ce  0.625  0.725  0.749
Ce  0.774  0.521  0.398
Ce  0.976  0.876  0.251
Sn  0.500  0.500  0.000
Te  0.001  0.627  0.878
Te  0.250  0.750  0.500
Te  0.373  0.251  0.374
Te  0.749  0.123  0.122
Te  0.877  0.999  0.626

Largest 8 diffraction maxima, low angle first, 2θ from 10° to 80°:
2θ (°)  I/Imax
30.10  100
35.78  71
47.44  18
49.50  20
60.82  26
62.57  12
64.30  15
74.23  15

=====

4.
For Tb2Nd3Tm6, the PBE geometry in Alexandria gives the theoretical X-ray diffraction stick pattern in this record (a wavelength of 1.5418 Å).

Crystal structure
Cell lengths 6.141, 6.141, 11.520 Å; angles 95.14, 95.14, 120.10 degrees
Positions (direct):
Tb  0.166  0.834  0.000
Tb  0.834  0.166  0.000
Nd  0.000  0.000  0.500
Nd  0.336  0.664  0.500
Nd  0.664  0.336  0.500
Tm  0.085  0.418  0.754
Tm  0.249  0.249  0.247
Tm  0.418  0.085  0.754
Tm  0.582  0.915  0.246
Tm  0.751  0.751  0.753
Tm  0.915  0.582  0.246

Largest 8 diffraction maxima, low angle first, 2θ from 10° to 80°:
2θ (°)  I/Imax
30.98  100
31.58  32
36.10  66
51.58  24
52.37  23
61.35  10
61.71  19
64.57  12

=====

5.
For Li4Zn3Ga, the PBE geometry in Alexandria gives the theoretical X-ray diffraction stick pattern in this record (a wavelength of 1.5418 Å).

Crystal structure
Cell lengths 4.242, 2.806, 11.677 Å; angles 90.00, 100.39, 90.00 degrees
Positions (direct):
Li  0.102  0.000  0.204
Li  0.217  0.000  0.433
Li  0.783  0.000  0.567
Li  0.898  0.000  0.796
Zn  0.331  0.500  0.660
Zn  0.500  0.000  0.000
Zn  0.669  0.500  0.340
Ga  0.000  0.500  0.000

Largest 8 diffraction maxima, low angle first, 2θ from 10° to 80°:
2θ (°)  I/Imax
15.43  21
23.23  92
23.98  41
40.29  100
42.62  23
49.10  24
53.09  35
73.97  15